# 1
# RbCa3Cu4I12
Calculated X-ray diffraction stick pattern, Cu Kα. Input: DFT lattice parameters and positions (PBE).
Peak positions follow from Bragg's law for the DFT cell and can differ from measured ones.

Atomic structure:
```
data_RbCa3Cu4I12
_chemical_formula_sum 'Rb3 Ca9 Cu12 I36'
_symmetry_space_group_name_H-M 'R 3 2'
_symmetry_Int_Tables_number 155
_symmetry_space_group_name_Hall 'R 3 2"'
_cell_length_a 15.9137
_cell_length_b 15.9137
_cell_length_c 12.0450
_cell_angle_alpha 90.00
_cell_angle_beta 90.00
_cell_angle_gamma 120.00
loop_
_atom_site_label
_atom_site_type_symbol
_atom_site_fract_x
_atom_site_fract_y
_atom_site_fract_z
_atom_site_occupancy
Rb1 Rb 0.0000 0.0000 0.0000 1
Ca1 Ca 0.0000 0.5593 0.0000 1
Cu1 Cu 0.0000 0.0000 0.5000 1
Cu2 Cu 0.0000 0.4294 0.5000 1
I1 I 0.0000 0.5928 0.5000 1
I2 I 0.0000 0.8413 0.5000 1
I3 I 0.0455 0.2103 0.1839 1
```

The 10 most intense peaks (2θ = 15–90°), in order of rising 2θ:
Position (°2θ), d (Å), Rel. int., hkl
18.56, 4.781, 39, 2 1 1
19.58, 4.535, 52, 2 0 2
22.14, 4.015, 89, 0 0 3
22.57, 3.940, 42, 1 2 2
24.43, 3.643, 100, 1 3 1
27.64, 3.227, 98, 3 1 2
38.04, 2.365, 38, 1 3 4
46.75, 1.943, 29, 7 0 1
48.66, 1.871, 38, 0 7 2
55.78, 1.648, 27, 7 0 4

***

# 2
# TbSm2Ir9
Calculated X-ray diffraction stick pattern, Cu Kα. Input: DFT lattice parameters and positions (PBE).
Peak positions follow from Bragg's law for the DFT cell and can differ from measured ones.

Atomic structure:
```
data_TbSm2Ir9
_chemical_formula_sum 'Tb3 Sm6 Ir27'
_symmetry_space_group_name_H-M 'R -3 m'
_symmetry_Int_Tables_number 166
_symmetry_space_group_name_Hall '-R 3 2"'
_cell_length_a 5.3362
_cell_length_b 5.3362
_cell_length_c 26.5210
_cell_angle_alpha 90.00
_cell_angle_beta 90.00
_cell_angle_gamma 120.00
loop_
_atom_site_label
_atom_site_type_symbol
_atom_site_fract_x
_atom_site_fract_y
_atom_site_fract_z
_atom_site_occupancy
Tb1 Tb 0.0000 0.0000 0.0000 1
Sm1 Sm 0.0000 0.0000 0.1393 1
Ir1 Ir 0.0000 0.0000 0.3324 1
Ir2 Ir 0.0000 0.0000 0.5000 1
Ir3 Ir 0.0022 0.5011 0.0811 1
```

The 10 most intense peaks (2θ = 15–90°), in order of rising 2θ:
Position (°2θ), d (Å), Rel. int., hkl
19.50, 4.553, 24, 1 0 1
33.59, 2.668, 20, 1 1 0
39.13, 2.302, 31, 0 2 1
39.45, 2.284, 100, 1 1 6
40.83, 2.210, 28, 0 0 12
42.68, 2.118, 41, 2 0 5
46.01, 1.973, 18, 0 2 7
64.01, 1.455, 24, 0 3 6
70.60, 1.334, 27, 2 2 0
84.92, 1.142, 25, 2 2 12

***

# 3
# CaCr2InRe
Calculated X-ray diffraction stick pattern, Cu Kα. Input: DFT lattice parameters and positions (PBE).
Peak positions follow from Bragg's law for the DFT cell and can differ from measured ones.

Atomic structure:
```
data_CaCr2InRe
_chemical_formula_sum 'Ca1 Cr2 In1 Re1'
_symmetry_space_group_name_H-M 'P 4/m m m'
_symmetry_Int_Tables_number 123
_symmetry_space_group_name_Hall '-P 4 2'
_cell_length_a 4.7875
_cell_length_b 4.7875
_cell_length_c 5.2228
_cell_angle_alpha 90.00
_cell_angle_beta 90.00
_cell_angle_gamma 90.00
loop_
_atom_site_label
_atom_site_type_symbol
_atom_site_fract_x
_atom_site_fract_y
_atom_site_fract_z
_atom_site_occupancy
Ca1 Ca 0.0000 0.0000 0.0000 1
Cr1 Cr 0.0000 0.5000 0.5000 1
In1 In 0.5000 0.5000 0.0000 1
Re1 Re 0.5000 0.5000 0.5000 1
```

The 10 most intense peaks (2θ = 15–90°), in order of rising 2θ:
Position (°2θ), d (Å), Rel. int., hkl
18.53, 4.787, 100, 1 0 0
26.33, 3.385, 36, 1 1 0
34.34, 2.611, 34, 0 0 2
37.57, 2.394, 52, 2 0 0
39.30, 2.293, 31, 1 0 2
42.21, 2.141, 25, 2 1 0
43.78, 2.068, 19, 1 1 2
51.81, 1.765, 40, 2 0 2
55.50, 1.656, 23, 2 1 2
65.74, 1.420, 19, 2 2 2

***

# 4
# Sm4Dy2Y3
Calculated X-ray diffraction stick pattern, Cu Kα. Input: DFT lattice parameters and positions (PBE).
Peak positions follow from Bragg's law for the DFT cell and can differ from measured ones.

Atomic structure:
```
data_Sm4Dy2Y3
_chemical_formula_sum 'Sm16 Dy8 Y12'
_symmetry_space_group_name_H-M 'C c c m'
_symmetry_Int_Tables_number 66
_symmetry_space_group_name_Hall '-C 2 2c'
_cell_length_a 9.8106
_cell_length_b 16.9376
_cell_length_c 7.0997
_cell_angle_alpha 90.00
_cell_angle_beta 90.00
_cell_angle_gamma 90.00
loop_
_atom_site_label
_atom_site_type_symbol
_atom_site_fract_x
_atom_site_fract_y
_atom_site_fract_z
_atom_site_occupancy
Sm1 Sm 0.1477 0.1733 0.0000 1
Sm2 Sm 0.1650 0.4850 0.0000 1
Dy1 Dy 0.1870 0.1600 0.5000 1
Y1 Y 0.0000 0.0000 0.2500 1
Y2 Y 0.0000 0.3305 0.2500 1
```

The 10 most intense peaks (2θ = 15–90°), in order of rising 2θ:
Position (°2θ), d (Å), Rel. int., hkl
25.09, 3.550, 19, 0 0 2
30.60, 2.922, 14, 1 5 1
31.12, 2.874, 85, 2 0 2
31.64, 2.828, 100, 3 3 0
40.80, 2.212, 27, 3 3 2
44.97, 2.016, 28, 2 6 2
51.49, 1.775, 9, 0 0 4
55.99, 1.642, 18, 5 3 2
56.41, 1.631, 10, 3 9 0
61.70, 1.503, 30, 3 3 4